# Li3CrB2O6
Computed PXRD pattern, λ = 1.5418 Å (Cu Kα). Input: a structure optimized by DFT (PBE+U).
Peak positions follow from Bragg's law for the DFT cell and can differ from measured ones.

Crystal structure
```
data_Li3CrB2O6
_space_group_name_H-M_alt 'P -1'
_space_group_IT_number 2
_cell_length_a 5.2552
_cell_length_b 5.8246
_cell_length_c 7.4591
_cell_angle_alpha 79.62
_cell_angle_beta 88.50
_cell_angle_gamma 87.68
loop_
_space_group_symop_operation_xyz
'x,y,z'
'-x,-y,-z'
loop_
_atom_site_label
_atom_site_fract_x
_atom_site_fract_y
_atom_site_fract_z
Li1 0.1136 0.2422 0.4532
Li2 0.1810 0.9844 0.7675
Li3 0.2981 0.1649 0.1340
Cr1 0.3955 0.4633 0.7969
B1 0.1563 0.6332 0.1042
B2 0.3366 0.8107 0.4340
O1 0.0911 0.2909 0.9213
O2 0.1617 0.9563 0.3333
O3 0.2414 0.4630 0.2463
O4 0.2603 0.7119 0.6107
O5 0.3587 0.7184 0.9800
O6 0.4165 0.2249 0.6359
```

Top 10 peaks for 10° ≤ 2θ ≤ 90°, sorted by position:
- hkl 0 1 0, 2θ 15.5, I 100
- hkl 1 0 0, 2θ 16.9, I 41
- hkl 0 1 -1, 2θ 21.3, I 51
- hkl 1 1 0, 2θ 22.6, I 36
- hkl 0 1 2, 2θ 26.4, I 23
- hkl 1 -1 2, 2θ 35.8, I 32
- hkl 0 2 2, 2θ 36.2, I 93
- hkl 2 0 -1, 2θ 36.6, I 23
- hkl 2 1 -1, 2θ 40.3, I 22
- hkl 2 -1 2, 2θ 47.0, I 17